Record 1
This entry pairs a crystal structure of La4GeN5 with its computed powder X-ray diffraction pattern. Radiation: λ = 1.5418 Å (Cu Kα). Structure: DFT lattice parameters and positions (GGA-PBE).
Neutral-atom scattering factors, no anomalous dispersion.

Structure:
```
data_La4GeN5
_space_group_name_H-M_alt 'I 4'
_space_group_IT_number 79
_space_group_name_Hall 'I 4'
_cell_length_a 8.252
_cell_length_b 8.252
_cell_length_c 5.290
_cell_angle_alpha 90.00
_cell_angle_beta 90.00
_cell_angle_gamma 90.00
loop_
_atom_site_label
_atom_site_type_symbol
_atom_site_fract_x
_atom_site_fract_y
_atom_site_fract_z
La1 La 0.104 0.700 0.000
Ge1 Ge 0.000 0.000 0.547
N1 N 0.000 0.000 0.893
N2 N 0.111 0.676 0.495
```

Most intense lines, 10 to 90 degrees two-theta, by angle:
Position (°2θ)	d (Å)	I/Imax	h k l
29.5	3.027	100	1 2 1
33.9	2.645	25	0 0 2
34.4	2.610	51	3 1 0
49.0	1.858	34	3 1 2
49.4	1.845	17	2 4 0
58.0	1.591	16	1 2 3
58.6	1.576	30	5 0 1
61.2	1.513	17	2 4 2

Record 2
This entry pairs a crystal structure of La4Ge2N with its computed powder X-ray diffraction pattern. Radiation: λ = 1.5418 Å (Cu Kα). Structure: DFT lattice parameters and positions (GGA-PBE).
Neutral-atom scattering factors, no anomalous dispersion.

Structure:
```
data_La4Ge2N
_space_group_name_H-M_alt 'P 1 21/m 1'
_space_group_IT_number 11
_space_group_name_Hall '-P 2yb'
_cell_length_a 7.085
_cell_length_b 6.888
_cell_length_c 8.819
_cell_angle_alpha 90.00
_cell_angle_beta 108.31
_cell_angle_gamma 90.00
loop_
_atom_site_label
_atom_site_type_symbol
_atom_site_fract_x
_atom_site_fract_y
_atom_site_fract_z
La1 La 0.012 0.001 0.246
La2 La 0.424 0.250 0.582
La3 La 0.436 0.250 0.133
Ge1 Ge 0.219 0.750 0.554
Ge2 Ge 0.251 0.750 0.062
N1 N 0.245 0.250 0.310
```

Most intense lines, 10 to 90 degrees two-theta, by angle:
Position (°2θ)	d (Å)	I/Imax	h k l
24.9	3.580	22	1 1 -2
28.4	3.144	100	1 0 2
29.1	3.066	91	1 2 0
31.3	2.860	67	2 1 -2
33.7	2.661	90	0 2 2
40.9	2.205	31	1 0 -4
47.6	1.911	27	3 2 -2
61.4	1.510	24	1 4 2

Record 3
This entry pairs a crystal structure of LaGeN with its computed powder X-ray diffraction pattern. Radiation: λ = 1.5418 Å (Cu Kα). Structure: DFT lattice parameters and positions (GGA-PBE).
Neutral-atom scattering factors, no anomalous dispersion.

Structure:
```
data_LaGeN
_space_group_name_H-M_alt 'C m c 21'
_space_group_IT_number 36
_space_group_name_Hall 'C 2c -2'
_cell_length_a 4.239
_cell_length_b 12.386
_cell_length_c 4.906
_cell_angle_alpha 90.00
_cell_angle_beta 90.00
_cell_angle_gamma 90.00
loop_
_atom_site_label
_atom_site_type_symbol
_atom_site_fract_x
_atom_site_fract_y
_atom_site_fract_z
La1 La 0.000 0.149 0.000
Ge1 Ge 0.000 0.452 0.925
N1 N 0.000 0.315 0.744
```

Most intense lines, 10 to 90 degrees two-theta, by angle:
Position (°2θ)	d (Å)	I/Imax	h k l
23.1	3.846	43	0 2 1
28.8	3.104	100	1 1 1
30.2	2.958	60	1 3 0
34.2	2.619	33	0 4 1
35.4	2.533	30	1 3 1
36.6	2.453	22	0 0 2
42.7	2.120	22	2 0 0
48.2	1.888	37	1 3 2

Record 4
This entry pairs a crystal structure of La3PmGe2N with its computed powder X-ray diffraction pattern. Radiation: λ = 1.5418 Å (Cu Kα). Structure: DFT lattice parameters and positions (GGA-PBE).
Neutral-atom scattering factors, no anomalous dispersion.

Structure:
```
data_La3PmGe2N
_space_group_name_H-M_alt 'I m m m'
_space_group_IT_number 71
_space_group_name_Hall '-I 2 2'
_cell_length_a 4.858
_cell_length_b 4.876
_cell_length_c 16.068
_cell_angle_alpha 90.00
_cell_angle_beta 90.00
_cell_angle_gamma 90.00
loop_
_atom_site_label
_atom_site_type_symbol
_atom_site_fract_x
_atom_site_fract_y
_atom_site_fract_z
La1 La 0.000 0.000 0.000
La2 La 0.000 0.500 0.171
Pm1 Pm 0.000 0.000 0.500
Ge1 Ge 0.000 0.500 0.364
N1 N 0.000 0.500 0.000
```

Most intense lines, 10 to 90 degrees two-theta, by angle:
Position (°2θ)	d (Å)	I/Imax	h k l
28.2	3.163	100	1 1 2
33.4	2.680	53	0 0 6
34.3	2.613	86	1 1 4
36.9	2.438	33	0 2 0
37.0	2.429	33	2 0 0
50.6	1.802	32	0 2 6
53.2	1.721	23	2 2 0
64.4	1.448	21	2 2 6

Record 5
This entry pairs a crystal structure of La2Sm2Ge2N with its computed powder X-ray diffraction pattern. Radiation: λ = 1.5418 Å (Cu Kα). Structure: DFT lattice parameters and positions (GGA-PBE).
Neutral-atom scattering factors, no anomalous dispersion.

Structure:
```
data_La2Sm2Ge2N
_space_group_name_H-M_alt 'I 4/m m m'
_space_group_IT_number 139
_space_group_name_Hall '-I 4 2'
_cell_length_a 4.784
_cell_length_b 4.784
_cell_length_c 16.057
_cell_angle_alpha 90.00
_cell_angle_beta 90.00
_cell_angle_gamma 90.00
loop_
_atom_site_label
_atom_site_type_symbol
_atom_site_fract_x
_atom_site_fract_y
_atom_site_fract_z
La1 La 0.000 0.000 0.170
Sm1 Sm 0.000 0.500 0.000
Ge1 Ge 0.000 0.000 0.366
N1 N 0.000 0.000 0.000
```

Most intense lines, 10 to 90 degrees two-theta, by angle:
Position (°2θ)	d (Å)	I/Imax	h k l
11.0	8.029	26	0 0 2
28.6	3.117	100	1 1 2
33.5	2.676	33	0 0 6
34.7	2.587	91	1 1 4
37.6	2.392	66	2 0 0
51.2	1.783	51	2 0 6
54.2	1.691	23	2 2 0
66.0	1.416	28	3 1 4

Record 6
This entry pairs a crystal structure of NaLaGePd with its computed powder X-ray diffraction pattern. Radiation: λ = 1.5418 Å (Cu Kα). Structure: DFT lattice parameters and positions (GGA-PBE).
Neutral-atom scattering factors, no anomalous dispersion.

Structure:
```
data_NaLaGePd
_space_group_name_H-M_alt 'F -4 3 m'
_space_group_IT_number 216
_space_group_name_Hall 'F -4 2 3'
_cell_length_a 6.940
_cell_length_b 6.940
_cell_length_c 6.940
_cell_angle_alpha 90.00
_cell_angle_beta 90.00
_cell_angle_gamma 90.00
loop_
_atom_site_label
_atom_site_type_symbol
_atom_site_fract_x
_atom_site_fract_y
_atom_site_fract_z
Na1 Na 0.000 0.000 0.000
La1 La 0.250 0.250 0.750
Ge1 Ge 0.250 0.250 0.250
Pd1 Pd 0.000 0.000 0.500
```

Most intense lines, 10 to 90 degrees two-theta, by angle:
Position (°2θ)	d (Å)	I/Imax	h k l
22.2	4.007	22	1 1 1
25.7	3.470	7	2 0 0
36.6	2.454	100	2 2 0
43.2	2.092	11	3 1 1
52.8	1.735	17	4 0 0
65.9	1.417	35	4 2 2
77.9	1.227	11	4 4 0
89.3	1.097	15	6 2 0

Number 5 is which compound? La2Sm2Ge2N